[1]
This entry pairs a crystal structure of ReBi2RuS with its simulated powder X-ray diffraction pattern. Radiation: Cu Ka. Structure: a DFT-relaxed cell (PBE, Alexandria).
Kinematic intensities with the Lorentz-polarization factor, no thermal factor.

Cell and atoms:
Cell lengths 5.318, 5.318, 4.681 Å; angles 90.00, 90.00, 90.00 degrees
Space group P4/mmm (No. 123)
Asymmetric unit:
Re  0.000  0.000  0.000
Bi  0.000  0.500  0.000
Ru  0.000  0.000  0.500
S  0.500  0.500  0.500

Principal peaks in the range 15° ≤ 2θ ≤ 90°, sorted by position:
| d_spacing | 2θ (°) | Rel. int. |
| --- | --- | --- |
| 5.318 | 16.67 | 66 |
| 4.681 | 18.96 | 77 |
| 2.932 | 30.49 | 65 |
| 2.659 | 33.71 | 100 |
| 2.340 | 38.46 | 35 |
| 2.312 | 38.95 | 54 |
| 1.880 | 48.41 | 37 |
| 1.757 | 52.06 | 59 |
| 1.745 | 52.44 | 24 |
| 1.466 | 63.46 | 33 |

[2]
This entry pairs a crystal structure of Th3ReBi with its simulated powder X-ray diffraction pattern. Radiation: Cu Ka. Structure: a DFT-relaxed cell (PBE, Alexandria).
Kinematic intensities with the Lorentz-polarization factor, no thermal factor.

Cell and atoms:
Cell lengths 7.954, 4.582, 16.815 Å; angles 90.00, 90.00, 90.00 degrees
Space group Pnma (No. 62)
Asymmetric unit:
Th  0.010  0.250  0.092
Th  0.139  0.750  0.452
Th  0.176  0.250  0.702
Re  0.240  0.750  0.041
Bi  0.122  0.250  0.299

Principal peaks in the range 15° ≤ 2θ ≤ 90°, sorted by position:
| d_spacing | 2θ (°) | Rel. int. |
| --- | --- | --- |
| 3.590 | 24.80 | 45 |
| 3.241 | 27.52 | 45 |
| 3.097 | 28.82 | 55 |
| 2.957 | 30.23 | 43 |
| 2.887 | 30.97 | 66 |
| 2.828 | 31.63 | 100 |
| 2.647 | 33.86 | 29 |
| 2.619 | 34.24 | 32 |
| 2.566 | 34.96 | 56 |
| 2.291 | 39.33 | 68 |

[3]
This entry pairs a crystal structure of TiReBi with its simulated powder X-ray diffraction pattern. Radiation: Cu Ka. Structure: a DFT-relaxed cell (PBE, Alexandria).
Kinematic intensities with the Lorentz-polarization factor, no thermal factor.

Cell and atoms:
Cell lengths 3.279, 3.279, 23.661 Å; angles 90.00, 90.00, 90.00 degrees
Space group I4/mmm (No. 139)
Asymmetric unit:
Ti  0.000  0.000  0.160
Re  0.000  0.000  0.283
Bi  0.000  0.000  0.422

Principal peaks in the range 15° ≤ 2θ ≤ 90°, sorted by position:
| d_spacing | 2θ (°) | Rel. int. |
| --- | --- | --- |
| 3.944 | 22.55 | 24 |
| 3.248 | 27.46 | 52 |
| 2.353 | 38.24 | 100 |
| 2.318 | 38.85 | 53 |
| 1.999 | 45.38 | 17 |
| 1.639 | 56.10 | 18 |
| 1.591 | 57.95 | 10 |
| 1.463 | 63.58 | 11 |
| 1.366 | 68.73 | 14 |
| 1.345 | 69.94 | 35 |

[4]
This entry pairs a crystal structure of Bi5Rh with its simulated powder X-ray diffraction pattern. Radiation: Cu Ka. Structure: a DFT-relaxed cell (PBE, Alexandria).
Kinematic intensities with the Lorentz-polarization factor, no thermal factor.

Cell and atoms:
Cell lengths 13.148, 3.411, 8.276 Å; angles 90.00, 105.06, 90.00 degrees
Space group Cm (No. 8)
Asymmetric unit:
Bi  0.000  0.000  0.000
Bi  0.001  0.000  0.395
Bi  0.135  0.500  0.750
Bi  0.269  0.000  0.106
Bi  0.271  0.000  0.502
Rh  0.135  0.500  0.251

Principal peaks in the range 15° ≤ 2θ ≤ 90°, sorted by position:
| d_spacing | 2θ (°) | Rel. int. |
| --- | --- | --- |
| 3.174 | 28.11 | 19 |
| 3.044 | 29.34 | 44 |
| 2.876 | 31.10 | 50 |
| 2.721 | 32.92 | 27 |
| 2.656 | 33.75 | 100 |
| 2.631 | 34.08 | 90 |
| 2.143 | 42.16 | 19 |
| 2.037 | 44.48 | 23 |
| 1.810 | 50.41 | 21 |
| 1.706 | 53.74 | 18 |

[5]
This entry pairs a crystal structure of Bi2Rh3 with its simulated powder X-ray diffraction pattern. Radiation: Cu Ka. Structure: a DFT-relaxed cell (PBE, Alexandria).
Kinematic intensities with the Lorentz-polarization factor, no thermal factor.

Cell and atoms:
Cell lengths 6.448, 11.330, 5.391 Å; angles 90.00, 90.00, 90.00 degrees
Space group Ibam (No. 72)
Asymmetric unit:
Bi  0.248  0.162  0.000
Rh  0.000  0.000  0.250
Rh  0.150  0.409  0.000

Principal peaks in the range 15° ≤ 2θ ≤ 90°, sorted by position:
| d_spacing | 2θ (°) | Rel. int. |
| --- | --- | --- |
| 3.340 | 26.69 | 54 |
| 3.224 | 27.67 | 39 |
| 2.694 | 33.26 | 57 |
| 2.431 | 36.98 | 34 |
| 2.337 | 38.52 | 100 |
| 2.128 | 42.48 | 28 |
| 2.068 | 43.78 | 57 |
| 1.953 | 46.51 | 33 |
| 1.883 | 48.33 | 46 |
| 1.340 | 70.26 | 42 |

[6]
This entry pairs a crystal structure of Bi14Rh3 with its simulated powder X-ray diffraction pattern. Radiation: Cu Ka. Structure: a DFT-relaxed cell (PBE, Alexandria).
Kinematic intensities with the Lorentz-polarization factor, no thermal factor.

Cell and atoms:
Cell lengths 7.160, 17.370, 32.067 Å; angles 90.00, 90.00, 90.00 degrees
Space group Fddd (No. 70, origin choice 2)
Asymmetric unit:
Bi  0.001  0.002  0.177
Bi  0.078  0.319  0.927
Bi  0.083  0.340  0.516
Bi  0.125  0.337  0.625
Rh  0.000  0.000  0.000
Rh  0.125  0.125  0.125

Principal peaks in the range 15° ≤ 2θ ≤ 90°, sorted by position:
| d_spacing | 2θ (°) | Rel. int. |
| --- | --- | --- |
| 3.310 | 26.94 | 57 |
| 3.211 | 27.78 | 25 |
| 3.006 | 29.73 | 78 |
| 2.945 | 30.35 | 25 |
| 2.812 | 31.83 | 100 |
| 2.794 | 32.03 | 24 |
| 2.389 | 37.66 | 39 |
| 2.338 | 38.50 | 26 |
| 2.202 | 40.99 | 25 |
| 2.161 | 41.79 | 27 |

[7]
This entry pairs a crystal structure of Bi2Ru2Rh with its simulated powder X-ray diffraction pattern. Radiation: Cu Ka. Structure: a DFT-relaxed cell (PBE, Alexandria).
Kinematic intensities with the Lorentz-polarization factor, no thermal factor.

Cell and atoms:
Cell lengths 7.698, 7.698, 3.211 Å; angles 90.00, 90.00, 90.00 degrees
Space group P4/mbm (No. 127)
Asymmetric unit:
Bi  0.161  0.339  0.000
Ru  0.138  0.638  0.500
Rh  0.000  0.000  0.000

Principal peaks in the range 15° ≤ 2θ ≤ 90°, sorted by position:
| d_spacing | 2θ (°) | Rel. int. |
| --- | --- | --- |
| 3.443 | 25.88 | 15 |
| 3.211 | 27.79 | 13 |
| 2.434 | 36.92 | 48 |
| 2.348 | 38.33 | 100 |
| 1.940 | 46.83 | 11 |
| 1.815 | 50.28 | 11 |
| 1.614 | 57.06 | 16 |
| 1.605 | 57.40 | 9 |
| 1.340 | 70.23 | 15 |
| 1.306 | 72.36 | 21 |

[8]
This entry pairs a crystal structure of BiRh2S4 with its simulated powder X-ray diffraction pattern. Radiation: Cu Ka. Structure: a DFT-relaxed cell (PBE, Alexandria).
Kinematic intensities with the Lorentz-polarization factor, no thermal factor.

Cell and atoms:
Cell lengths 6.708, 6.708, 12.127 Å; angles 90.00, 90.00, 90.00 degrees
Space group I4_1/a (No. 88, origin choice 2)
Asymmetric unit:
Bi  0.000  0.250  0.125
Rh  0.000  0.000  0.500
S  0.146  0.455  0.328

Principal peaks in the range 15° ≤ 2θ ≤ 90°, sorted by position:
| d_spacing | 2θ (°) | Rel. int. |
| --- | --- | --- |
| 3.736 | 23.82 | 43 |
| 3.462 | 25.73 | 45 |
| 2.935 | 30.46 | 25 |
| 2.912 | 30.70 | 100 |
| 2.281 | 39.51 | 29 |
| 2.002 | 45.29 | 29 |
| 1.957 | 46.41 | 21 |
| 1.868 | 48.75 | 34 |
| 1.839 | 49.57 | 21 |
| 1.500 | 61.85 | 19 |

[9]
This entry pairs a crystal structure of BiRhS2 with its simulated powder X-ray diffraction pattern. Radiation: Cu Ka. Structure: a DFT-relaxed cell (PBE, Alexandria).
Kinematic intensities with the Lorentz-polarization factor, no thermal factor.

Cell and atoms:
Cell lengths 3.491, 7.946, 6.889 Å; angles 90.00, 117.95, 90.00 degrees
Space group Pc (No. 7)
Asymmetric unit:
Bi  0.000  0.188  0.000
Rh  0.645  0.346  0.592
S  0.029  0.169  0.465
S  0.276  0.487  0.230

Principal peaks in the range 15° ≤ 2θ ≤ 90°, sorted by position:
| d_spacing | 2θ (°) | Rel. int. |
| --- | --- | --- |
| 4.832 | 18.36 | 37 |
| 3.973 | 22.38 | 39 |
| 3.327 | 26.80 | 76 |
| 3.193 | 27.94 | 100 |
| 3.043 | 29.35 | 49 |
| 2.875 | 31.11 | 23 |
| 2.416 | 37.22 | 34 |
| 2.161 | 41.80 | 33 |
| 2.009 | 45.13 | 41 |
| 1.977 | 45.90 | 46 |

[10]
This entry pairs a crystal structure of BiRhS2 with its simulated powder X-ray diffraction pattern. Radiation: Cu Ka. Structure: a DFT-relaxed cell (PBE, Alexandria).
Kinematic intensities with the Lorentz-polarization factor, no thermal factor.

Cell and atoms:
Cell lengths 3.5514, 3.5514, 7.8671 Å; angles 90.00, 90.00, 120.00 degrees
Space group P3m1 (No. 156)
Asymmetric unit:
Bi  0.0000  0.0000  0.0000
Rh  0.6667  0.3333  0.4922
S  0.0000  0.0000  0.3437
S  0.3333  0.6667  0.6521

Principal peaks in the range 15° ≤ 2θ ≤ 90°, sorted by position:
| d_spacing | 2θ (°) | Rel. int. |
| --- | --- | --- |
| 3.934 | 22.60 | 43 |
| 3.076 | 29.03 | 28 |
| 2.864 | 31.23 | 100 |
| 2.423 | 37.11 | 31 |
| 1.995 | 45.45 | 46 |
| 1.776 | 51.46 | 25 |
| 1.618 | 56.89 | 22 |
| 1.509 | 61.44 | 15 |
| 1.401 | 66.78 | 12 |
| 1.150 | 84.19 | 13 |

[11]
This entry pairs a crystal structure of Bi3SbRh4 with its simulated powder X-ray diffraction pattern. Radiation: Cu Ka. Structure: a DFT-relaxed cell (PBE, Alexandria).
Kinematic intensities with the Lorentz-polarization factor, no thermal factor.

Cell and atoms:
Cell lengths 5.608, 9.672, 6.653 Å; angles 90.00, 90.00, 90.00 degrees
Space group Imm2 (No. 44)
Asymmetric unit:
Bi  0.000  0.000  0.000
Bi  0.000  0.281  0.302
Sb  0.000  0.500  0.810
Rh  0.000  0.243  0.706
Rh  0.234  0.000  0.633

Principal peaks in the range 15° ≤ 2θ ≤ 90°, sorted by position:
| d_spacing | 2θ (°) | Rel. int. |
| --- | --- | --- |
| 3.208 | 27.81 | 100 |
| 2.804 | 31.92 | 38 |
| 2.742 | 32.66 | 90 |
| 2.496 | 35.98 | 28 |
| 2.418 | 37.19 | 50 |
| 2.143 | 42.16 | 23 |
| 2.062 | 43.90 | 22 |
| 2.016 | 44.96 | 33 |
| 1.960 | 46.33 | 41 |
| 1.603 | 57.49 | 31 |

[12]
This entry pairs a crystal structure of Sc2BiRh4 with its simulated powder X-ray diffraction pattern. Radiation: Cu Ka. Structure: a DFT-relaxed cell (PBE, Alexandria).
Kinematic intensities with the Lorentz-polarization factor, no thermal factor.

Cell and atoms:
Cell lengths 4.4837, 4.4837, 22.0305 Å; angles 90.00, 90.00, 120.00 degrees
Space group R-3m (No. 166, hexagonal axes)
Asymmetric unit:
Sc  0.0000  0.0000  0.2430
Bi  0.0000  0.0000  0.0000
Rh  0.0000  0.0000  0.1273
Rh  0.0000  0.0000  0.3786

Principal peaks in the range 15° ≤ 2θ ≤ 90°, sorted by position:
| d_spacing | 2θ (°) | Rel. int. |
| --- | --- | --- |
| 3.824 | 23.26 | 17 |
| 3.664 | 24.29 | 6 |
| 2.913 | 30.69 | 13 |
| 2.446 | 36.75 | 8 |
| 2.244 | 40.19 | 100 |
| 2.144 | 42.14 | 6 |
| 1.587 | 58.13 | 16 |
| 1.298 | 72.89 | 8 |
| 1.295 | 73.08 | 25 |
| 1.121 | 86.90 | 5 |